Computed XRD peak list
Compound: Ba7HfN6
Radiation: Cu Kα (weighted mean of Kα1 and Kα2)
Structure: a DFT-relaxed cell (GGA-PBE, the Materials Project)
Intensities are scaled so that the largest is 100.

Peak list (10 most intense, 15 to 90 degrees two-theta, low angle first)
| (hkl) | 2θ/deg | d (Å) | I/Imax |
| --- | --- | --- | --- |
| 0 2 2 | 27.26 | 3.271 | 18 |
| 2 0 4 | 27.79 | 3.210 | 100 |
| 1 2 2 | 28.20 | 3.165 | 28 |
| 4 0 0 | 28.53 | 3.128 | 46 |
| 2 2 1 | 29.01 | 3.078 | 24 |
| 0 2 3 | 30.42 | 2.939 | 16 |
| 2 2 2 | 30.84 | 2.899 | 40 |
| 3 2 2 | 34.85 | 2.574 | 17 |
| 4 2 2 | 39.87 | 2.261 | 20 |
| 6 0 4 | 50.08 | 1.821 | 14 |

Atomic structure:
Unit cell a=12.5133 b=7.2758 c=14.9571 alpha=90.00 beta=90.00 gamma=90.00
Fractional coordinates of all 56 atoms:
Ba (0.0000, 0.0551, 0.2500)
Ba (0.0000, 0.9449, 0.7500)
Ba (0.0087, 0.2425, 0.5268)
Ba (0.0087, 0.7575, 0.0268)
Ba (0.2184, 0.4157, 0.1217)
Ba (0.2184, 0.5843, 0.6217)
Ba (0.2333, 0.2604, 0.3725)
Ba (0.2333, 0.7396, 0.8725)
Ba (0.2667, 0.2396, 0.8725)
Ba (0.2667, 0.7604, 0.3725)
Ba (0.2816, 0.0843, 0.6217)
Ba (0.2816, 0.9157, 0.1217)
Ba (0.4913, 0.2575, 0.0268)
Ba (0.4913, 0.7425, 0.5268)
Ba (0.5000, 0.4449, 0.7500)
Ba (0.5000, 0.5551, 0.2500)
Ba (0.5087, 0.2575, 0.4732)
Ba (0.5087, 0.7425, 0.9732)
Ba (0.7184, 0.0843, 0.8783)
Ba (0.7184, 0.9157, 0.3783)
Ba (0.7333, 0.2396, 0.6275)
Ba (0.7333, 0.7604, 0.1275)
Ba (0.7667, 0.2604, 0.1275)
Ba (0.7667, 0.7396, 0.6275)
Ba (0.7816, 0.4157, 0.3783)
Ba (0.7816, 0.5843, 0.8783)
Ba (0.9913, 0.2425, 0.9732)
Ba (0.9913, 0.7575, 0.4732)
Hf (0.0000, 0.4372, 0.7500)
Hf (0.0000, 0.5628, 0.2500)
Hf (0.5000, 0.0628, 0.2500)
Hf (0.5000, 0.9372, 0.7500)
N (0.0237, 0.3910, 0.3591)
N (0.0237, 0.6090, 0.8591)
N (0.1295, 0.2634, 0.7180)
N (0.1295, 0.7366, 0.2180)
N (0.1654, 0.0284, 0.9856)
N (0.1654, 0.9716, 0.4856)
N (0.3346, 0.4716, 0.4856)
N (0.3346, 0.5284, 0.9856)
N (0.3705, 0.2366, 0.2180)
N (0.3705, 0.7634, 0.7180)
N (0.4763, 0.1090, 0.8591)
N (0.4763, 0.8910, 0.3591)
N (0.5237, 0.1090, 0.6409)
N (0.5237, 0.8910, 0.1409)
N (0.6295, 0.2366, 0.2820)
N (0.6295, 0.7634, 0.7820)
N (0.6654, 0.4716, 0.0144)
N (0.6654, 0.5284, 0.5144)
N (0.8346, 0.0284, 0.5144)
N (0.8346, 0.9716, 0.0144)
N (0.8705, 0.2634, 0.7820)
N (0.8705, 0.7366, 0.2820)
N (0.9763, 0.3910, 0.1409)
N (0.9763, 0.6090, 0.6409)